Starting from a crystal structure in Alexandria, relaxed with GGA-PBE, the XRD peak list of Rb2PdIBr3 was calculated for Cu Kα (weighted mean of Kα1 and Kα2).
Kinematic intensities with the Lorentz-polarization factor, no thermal factor.

Crystal structure
a = 9.3349 Å, b = 9.3349 Å, c = 9.3349 Å
α = 146.22°, β = 145.00°, γ = 49.44°
Positions (direct):
Rb 0.1420 0.1420 0.0000
Rb 0.8580 0.8580 0.0000
Pd 0.5000 0.5000 0.0000
I 0.0000 0.5000 0.5000
Br 0.3474 0.3474 0.0000
Br 0.5000 0.0000 0.5000
Br 0.6526 0.6526 0.0000

Top 8 peaks for 5° ≤ 2θ ≤ 70°, by intensity:
- 2θ = 31.15°, 2.871 Å, intensity 100
- 2θ = 10.43°, 8.480 Å, intensity 97
- 2θ = 31.88°, 2.807 Å, intensity 60
- 2θ = 33.02°, 2.712 Å, intensity 54
- 2θ = 22.77°, 3.905 Å, intensity 52
- 2θ = 31.66°, 2.827 Å, intensity 45
- 2θ = 46.56°, 1.951 Å, intensity 40
- 2θ = 25.13°, 3.544 Å, intensity 38